For Y2Te3, a PBE-relaxed structure gives the calculated powder XRD pattern in this record (CuKα).
Lines closer than 0.1° are merged.

Main lines, in order of rising 2θ (2θ from 10° to 80°):
2theta, I/Imax, hkl
24.95, 335, 2 2 0
28.84, 1000, 2 0 6
28.97, 494, 0 4 0
41.15, 188, 0 0 12
41.34, 930, 4 0 0
51.11, 202, 0 4 12
51.26, 197, 4 4 0
67.76, 251, 6 0 6
67.95, 168, 2 8 6
75.37, 184, 0 8 12

Crystal structure
```
data_Y2Te3
_cell_length_a 8.738
_cell_length_b 12.328
_cell_length_c 26.323
_cell_angle_alpha 90.00
_cell_angle_beta 90.00
_cell_angle_gamma 90.00
_symmetry_space_group_name_H-M 'F d d d'
_symmetry_Int_Tables_number 70
loop_
_symmetry_equiv_pos_as_xyz
'x,y,z'
'-x,-y,-z'
'-x+1/4,-y+1/4,z'
'x+1/4,y+1/4,-z'
'x,-y+1/4,-z+1/4'
'-x,y+1/4,z+1/4'
'-x+1/4,y,-z+1/4'
'x+1/4,-y,z+1/4'
'x,y+1/2,z+1/2'
'-x,-y+1/2,-z+1/2'
'-x+1/4,-y+3/4,z+1/2'
'x+1/4,y+3/4,-z+1/2'
'x,-y+3/4,-z+3/4'
'-x,y+3/4,z+3/4'
'-x+1/4,y+1/2,-z+3/4'
'x+1/4,-y+1/2,z+3/4'
'x+1/2,y,z+1/2'
'-x+1/2,-y,-z+1/2'
'-x+3/4,-y+1/4,z+1/2'
'x+3/4,y+1/4,-z+1/2'
'x+1/2,-y+1/4,-z+3/4'
'-x+1/2,y+1/4,z+3/4'
'-x+3/4,y,-z+3/4'
'x+3/4,-y,z+3/4'
'x+1/2,y+1/2,z'
'-x+1/2,-y+1/2,-z'
'-x+3/4,-y+3/4,z'
'x+3/4,y+3/4,-z'
'x+1/2,-y+3/4,-z+1/4'
'-x+1/2,y+3/4,z+1/4'
'-x+3/4,y+1/2,-z+1/4'
'x+3/4,-y+1/2,z+1/4'
loop_
_atom_site_label
_atom_site_type_symbol
_atom_site_fract_x
_atom_site_fract_y
_atom_site_fract_z
Y1 Y 0.125 0.125 0.042
Y2 Y 0.125 0.125 0.375
Te1 Te 0.122 0.375 0.875
Te2 Te 0.125 0.374 0.542
```